# 1
For Pr5Cu2Pb5, the GGA-PBE geometry in Alexandria gives the theoretical powder X-ray diffraction pattern in this record (λ = 1.5418 Å (Cu Kα)).
Kinematic intensities with the Lorentz-polarization factor, no thermal factor.

Main lines, most intense first (2θ = 10–90°):
| 2θ/deg | I/Imax |
| --- | --- |
| 30.1 | 100 |
| 35.2 | 94 |
| 30.9 | 50 |
| 38.6 | 50 |
| 32.5 | 32 |
| 34.9 | 32 |
| 50.3 | 26 |
| 31.6 | 24 |
| 62.3 | 23 |
| 25.2 | 22 |
| 53.1 | 20 |
| 25.8 | 18 |

Cell: 8.677 8.677 11.585 Å, 128.03 128.03 31.16°
Fractional positions:
Pr (0.000, 0.000, 0.000)
Pr (0.111, 0.111, 0.419)
Pr (0.194, 0.194, 0.826)
Pr (0.806, 0.806, 0.174)
Pr (0.889, 0.889, 0.581)
Cu (0.360, 0.360, 0.759)
Cu (0.640, 0.640, 0.241)
Pb (0.250, 0.250, 0.314)
Pb (0.439, 0.439, 0.143)
Pb (0.500, 0.500, 0.500)
Pb (0.561, 0.561, 0.857)
Pb (0.750, 0.750, 0.686)


# 2
For Pr6Cu2Pb, the GGA-PBE geometry in Alexandria gives the theoretical powder X-ray diffraction pattern in this record (λ = 1.5418 Å (Cu Kα)).
Kinematic intensities with the Lorentz-polarization factor, no thermal factor.

Main lines, most intense first (2θ = 10–90°):
| 2θ/deg | I/Imax |
| --- | --- |
| 30.3 | 100 |
| 32.0 | 57 |
| 31.8 | 46 |
| 58.6 | 22 |
| 30.0 | 22 |
| 53.4 | 21 |
| 33.4 | 20 |
| 38.6 | 16 |
| 34.6 | 16 |
| 63.4 | 14 |
| 34.8 | 12 |
| 54.5 | 11 |

Cell: 8.948 8.948 8.948 Å, 117.16 109.73 101.88°
Fractional positions:
Pr (0.029, 0.228, 0.802)
Pr (0.194, 0.294, 0.488)
Pr (0.194, 0.706, 0.900)
Pr (0.319, 0.016, 0.697)
Pr (0.319, 0.622, 0.303)
Pr (0.426, 0.228, 0.198)
Pr (0.574, 0.772, 0.802)
Pr (0.681, 0.378, 0.697)
Pr (0.681, 0.984, 0.303)
Pr (0.806, 0.294, 0.100)
Pr (0.806, 0.706, 0.512)
Pr (0.971, 0.772, 0.198)
Cu (0.114, 0.614, 0.500)
Cu (0.364, 0.000, 0.364)
Cu (0.636, 0.000, 0.636)
Cu (0.886, 0.386, 0.500)
Pb (0.000, 0.000, 0.000)
Pb (0.500, 0.500, 0.000)


# 3
For PrSmCuPb, the GGA-PBE geometry in Alexandria gives the theoretical powder X-ray diffraction pattern in this record (λ = 1.5418 Å (Cu Kα)).
Kinematic intensities with the Lorentz-polarization factor, no thermal factor.

Main lines, most intense first (2θ = 10–90°):
| 2θ/deg | I/Imax |
| --- | --- |
| 33.4 | 100 |
| 59.8 | 38 |
| 48.0 | 18 |
| 80.1 | 16 |
| 20.3 | 13 |
| 70.3 | 12 |
| 39.4 | 7 |
| 89.6 | 4 |
| 52.6 | 3 |
| 74.0 | 3 |
| 63.8 | 3 |
| 83.7 | 1 |

Cell: 5.359 5.359 5.359 Å, 60.00 60.00 60.00°
Fractional positions:
Pr (0.000, 0.000, 0.000)
Sm (0.500, 0.500, 0.500)
Cu (0.250, 0.250, 0.250)
Pb (0.750, 0.750, 0.750)


# 4
For Cu2PtPb, the GGA-PBE geometry in Alexandria gives the theoretical powder X-ray diffraction pattern in this record (λ = 1.5418 Å (Cu Kα)).
Kinematic intensities with the Lorentz-polarization factor, no thermal factor.

Main lines, most intense first (2θ = 10–90°):
| 2θ/deg | I/Imax |
| --- | --- |
| 39.7 | 100 |
| 38.9 | 61 |
| 30.8 | 46 |
| 71.0 | 36 |
| 56.2 | 21 |
| 14.1 | 20 |
| 59.4 | 15 |
| 65.4 | 12 |
| 72.6 | 11 |
| 43.1 | 10 |
| 73.3 | 8 |
| 82.0 | 8 |

Cell: 3.274 3.274 6.296 Å, 90.00 90.00 90.00°
Fractional positions:
Cu (0.000, 0.000, 0.000)
Cu (0.500, 0.500, 0.185)
Pt (0.500, 0.500, 0.778)
Pb (0.000, 0.000, 0.488)


# 5
For TmCuPtPb, the GGA-PBE geometry in Alexandria gives the theoretical powder X-ray diffraction pattern in this record (λ = 1.5418 Å (Cu Kα)).
Kinematic intensities with the Lorentz-polarization factor, no thermal factor.

Main lines, most intense first (2θ = 10–90°):
| 2θ/deg | I/Imax |
| --- | --- |
| 37.2 | 100 |
| 67.1 | 36 |
| 53.6 | 18 |
| 79.3 | 11 |
| 22.5 | 9 |
| 43.9 | 5 |
| 26.1 | 4 |
| 58.9 | 2 |
| 83.7 | 2 |
| 71.7 | 2 |
| 60.6 | 2 |
| 46.0 | 1 |

Cell: 4.834 4.834 4.834 Å, 60.00 60.00 60.00°
Fractional positions:
Tm (0.000, 0.000, 0.000)
Cu (0.750, 0.750, 0.750)
Pt (0.250, 0.250, 0.250)
Pb (0.500, 0.500, 0.500)


# 6
For CuRhPb3, the GGA-PBE geometry in Alexandria gives the theoretical powder X-ray diffraction pattern in this record (λ = 1.5418 Å (Cu Kα)).
Kinematic intensities with the Lorentz-polarization factor, no thermal factor.

Main lines, most intense first (2θ = 10–90°):
| 2θ/deg | I/Imax |
| --- | --- |
| 29.3 | 100 |
| 33.9 | 96 |
| 48.7 | 70 |
| 16.8 | 49 |
| 57.9 | 46 |
| 81.4 | 33 |
| 38.1 | 26 |
| 60.7 | 24 |
| 79.0 | 19 |
| 51.9 | 14 |
| 71.4 | 11 |
| 73.9 | 8 |

Cell: 5.286 5.286 5.286 Å, 90.00 90.00 90.00°
Fractional positions:
Cu (0.000, 0.000, 0.000)
Rh (0.500, 0.500, 0.500)
Pb (0.000, 0.500, 0.500)
Pb (0.500, 0.000, 0.500)
Pb (0.500, 0.500, 0.000)


# 7
For Sc2CuPbS4, the GGA-PBE geometry in Alexandria gives the theoretical powder X-ray diffraction pattern in this record (λ = 1.5418 Å (Cu Kα)).
Kinematic intensities with the Lorentz-polarization factor, no thermal factor.

Main lines, most intense first (2θ = 10–90°):
| 2θ/deg | I/Imax |
| --- | --- |
| 34.6 | 100 |
| 13.3 | 88 |
| 28.1 | 74 |
| 32.5 | 69 |
| 24.5 | 45 |
| 26.8 | 41 |
| 31.2 | 34 |
| 36.8 | 32 |
| 15.4 | 29 |
| 39.2 | 27 |
| 48.3 | 27 |
| 42.1 | 26 |

Cell: 6.634 6.634 13.284 Å, 90.00 90.00 147.00°
Fractional positions:
Sc (0.127, 0.873, 0.560)
Sc (0.127, 0.873, 0.940)
Sc (0.873, 0.127, 0.060)
Sc (0.873, 0.127, 0.440)
Cu (0.339, 0.661, 0.250)
Cu (0.661, 0.339, 0.750)
Pb (0.378, 0.622, 0.750)
Pb (0.622, 0.378, 0.250)
S (0.056, 0.944, 0.750)
S (0.233, 0.767, 0.109)
S (0.233, 0.767, 0.391)
S (0.500, 0.500, 0.000)
S (0.500, 0.500, 0.500)
S (0.767, 0.233, 0.609)
S (0.767, 0.233, 0.891)
S (0.944, 0.056, 0.250)


# 8
For Cu2TePbS, the GGA-PBE geometry in Alexandria gives the theoretical powder X-ray diffraction pattern in this record (λ = 1.5418 Å (Cu Kα)).
Kinematic intensities with the Lorentz-polarization factor, no thermal factor.

Main lines, most intense first (2θ = 10–90°):
| 2θ/deg | I/Imax |
| --- | --- |
| 26.3 | 100 |
| 36.1 | 61 |
| 30.4 | 58 |
| 40.6 | 58 |
| 24.3 | 55 |
| 37.5 | 49 |
| 43.7 | 42 |
| 45.7 | 38 |
| 31.1 | 36 |
| 28.7 | 36 |
| 38.0 | 33 |
| 34.2 | 31 |

Cell: 6.981 4.143 8.135 Å, 90.00 103.69 90.00°
Fractional positions:
Cu (0.013, 0.250, 0.192)
Cu (0.045, 0.750, 0.408)
Cu (0.955, 0.250, 0.592)
Cu (0.987, 0.750, 0.808)
Te (0.211, 0.250, 0.931)
Te (0.789, 0.750, 0.069)
Pb (0.419, 0.750, 0.724)
Pb (0.581, 0.250, 0.276)
S (0.227, 0.250, 0.450)
S (0.773, 0.750, 0.550)


# 9
For CuSb2Pb, the GGA-PBE geometry in Alexandria gives the theoretical powder X-ray diffraction pattern in this record (λ = 1.5418 Å (Cu Kα)).
Kinematic intensities with the Lorentz-polarization factor, no thermal factor.

Main lines, most intense first (2θ = 10–90°):
| 2θ/deg | I/Imax |
| --- | --- |
| 30.6 | 100 |
| 31.9 | 66 |
| 31.1 | 52 |
| 30.4 | 51 |
| 30.2 | 51 |
| 43.5 | 50 |
| 31.4 | 49 |
| 43.1 | 39 |
| 37.2 | 33 |
| 34.5 | 32 |
| 32.7 | 30 |
| 63.3 | 25 |

Cell: 4.158 6.648 8.255 Å, 109.83 90.43 107.50°
Fractional positions:
Cu (0.239, 0.481, 0.389)
Cu (0.761, 0.519, 0.611)
Sb (0.133, 0.253, 0.609)
Sb (0.174, 0.342, 0.031)
Sb (0.826, 0.658, 0.969)
Sb (0.867, 0.747, 0.391)
Pb (0.445, 0.892, 0.752)
Pb (0.555, 0.108, 0.248)


# 10
For CuSb2Pb, the GGA-PBE geometry in Alexandria gives the theoretical powder X-ray diffraction pattern in this record (λ = 1.5418 Å (Cu Kα)).
Kinematic intensities with the Lorentz-polarization factor, no thermal factor.

Main lines, most intense first (2θ = 10–90°):
| 2θ/deg | I/Imax |
| --- | --- |
| 28.8 | 100 |
| 31.5 | 81 |
| 29.4 | 68 |
| 36.4 | 65 |
| 28.4 | 58 |
| 36.3 | 55 |
| 45.0 | 46 |
| 33.2 | 41 |
| 29.6 | 39 |
| 46.4 | 37 |
| 28.9 | 33 |
| 29.2 | 30 |

Cell: 6.194 6.255 6.766 Å, 78.14 66.53 62.03°
Fractional positions:
Cu (0.000, 0.000, 0.000)
Cu (0.240, 0.247, 0.976)
Sb (0.046, 0.670, 0.776)
Sb (0.509, 0.832, 0.759)
Sb (0.687, 0.279, 0.762)
Sb (0.771, 0.345, 0.283)
Pb (0.176, 0.587, 0.276)
Pb (0.526, 0.951, 0.277)


# 11
For CuSb2Pb, the GGA-PBE geometry in Alexandria gives the theoretical powder X-ray diffraction pattern in this record (λ = 1.5418 Å (Cu Kα)).
Kinematic intensities with the Lorentz-polarization factor, no thermal factor.

Main lines, most intense first (2θ = 10–90°):
| 2θ/deg | I/Imax |
| --- | --- |
| 33.2 | 100 |
| 33.3 | 87 |
| 33.9 | 87 |
| 28.9 | 82 |
| 28.8 | 80 |
| 29.9 | 58 |
| 43.3 | 54 |
| 56.1 | 44 |
| 32.4 | 42 |
| 39.0 | 39 |
| 32.1 | 36 |
| 44.8 | 30 |

Cell: 5.919 6.234 6.270 Å, 96.18 116.21 91.40°
Fractional positions:
Cu (0.039, 0.205, 0.068)
Cu (0.961, 0.795, 0.932)
Sb (0.198, 0.956, 0.410)
Sb (0.210, 0.469, 0.856)
Sb (0.790, 0.531, 0.144)
Sb (0.802, 0.044, 0.590)
Pb (0.500, 0.000, 0.000)
Pb (0.500, 0.500, 0.500)


# 12
For CuSb2Pb, the GGA-PBE geometry in Alexandria gives the theoretical powder X-ray diffraction pattern in this record (λ = 1.5418 Å (Cu Kα)).
Kinematic intensities with the Lorentz-polarization factor, no thermal factor.

Main lines, most intense first (2θ = 10–90°):
| 2θ/deg | I/Imax |
| --- | --- |
| 30.6 | 100 |
| 30.4 | 82 |
| 32.3 | 76 |
| 35.0 | 57 |
| 44.9 | 45 |
| 31.2 | 43 |
| 45.7 | 33 |
| 42.3 | 31 |
| 49.1 | 27 |
| 24.8 | 26 |
| 29.7 | 22 |
| 27.8 | 21 |

Cell: 4.083 4.484 6.154 Å, 108.60 97.51 98.28°
Fractional positions:
Cu (0.000, 0.000, 0.000)
Sb (0.489, 0.790, 0.193)
Sb (0.511, 0.210, 0.807)
Pb (0.000, 0.500, 0.500)


# 13
For Cu2SiPbSe4, the GGA-PBE geometry in Alexandria gives the theoretical powder X-ray diffraction pattern in this record (λ = 1.5418 Å (Cu Kα)).
Kinematic intensities with the Lorentz-polarization factor, no thermal factor.

Main lines, most intense first (2θ = 10–90°):
| 2θ/deg | I/Imax |
| --- | --- |
| 27.0 | 100 |
| 26.8 | 92 |
| 46.5 | 73 |
| 30.4 | 43 |
| 33.1 | 37 |
| 16.7 | 35 |
| 49.3 | 33 |
| 33.4 | 31 |
| 49.8 | 29 |
| 40.5 | 26 |
| 41.1 | 26 |
| 44.4 | 24 |

Cell: 6.703 6.658 6.256 Å, 62.44 61.72 55.84°
Fractional positions:
Cu (0.000, 0.000, 0.500)
Cu (0.500, 0.500, 0.000)
Si (0.250, 0.250, 0.750)
Pb (0.757, 0.757, 0.243)
Se (0.191, 0.597, 0.403)
Se (0.312, 0.899, 0.688)
Se (0.597, 0.191, 0.809)
Se (0.899, 0.312, 0.101)


# 14
For Tm2CuPbSe4, the GGA-PBE geometry in Alexandria gives the theoretical powder X-ray diffraction pattern in this record (λ = 1.5418 Å (Cu Kα)).
Kinematic intensities with the Lorentz-polarization factor, no thermal factor.

Main lines, most intense first (2θ = 10–90°):
| 2θ/deg | I/Imax |
| --- | --- |
| 32.3 | 100 |
| 22.8 | 56 |
| 30.4 | 49 |
| 39.1 | 47 |
| 44.5 | 36 |
| 45.0 | 29 |
| 37.6 | 22 |
| 60.0 | 21 |
| 65.2 | 20 |
| 26.2 | 17 |
| 76.2 | 17 |
| 26.4 | 16 |

Cell: 7.045 7.045 14.362 Å, 90.00 90.00 146.79°
Fractional positions:
Tm (0.129, 0.871, 0.567)
Tm (0.129, 0.871, 0.933)
Tm (0.871, 0.129, 0.067)
Tm (0.871, 0.129, 0.433)
Cu (0.340, 0.660, 0.250)
Cu (0.660, 0.340, 0.750)
Pb (0.365, 0.635, 0.750)
Pb (0.635, 0.365, 0.250)
Se (0.051, 0.949, 0.750)
Se (0.228, 0.772, 0.111)
Se (0.228, 0.772, 0.389)
Se (0.500, 0.500, 0.000)
Se (0.500, 0.500, 0.500)
Se (0.772, 0.228, 0.611)
Se (0.772, 0.228, 0.889)
Se (0.949, 0.051, 0.250)